Diffraction record for La2Dy2Th3. The powder XRD pattern is simulated, not measured: it uses a DFT-relaxed cell (GGA-PBE, Alexandria) and λ = 1.5418 Å (Cu Kα).
Lines closer than 0.1° are merged.

Crystal structure
a b c (Å): 18.6387 18.6387 3.5689
angles (deg): 90.00 90.00 169.05
Positions (direct):
La  0.2084  0.7916  0.0000
La  0.7916  0.2084  0.0000
Dy  0.3651  0.6349  0.5000
Dy  0.6349  0.3651  0.5000
Th  0.0678  0.9322  0.0000
Th  0.5000  0.5000  0.5000
Th  0.9322  0.0678  0.0000

The 6 most intense peaks (5 to 70 degrees two-theta), low angle first:
2θ/deg  intensity
28.9  38
30.3  100
31.6  68
33.8  32
35.7  71
51.8  42